1.
Structure and simulated powder XRD pattern of NaErCl3 (a crystal structure in Alexandria, relaxed with GGA-PBE; Cu Kα (weighted mean of Kα1 and Kα2)).

Lattice parameters (Å, degrees): 12.7947 7.3921 6.5211 90.00 90.00 90.00
Space group C2/m (No. 12)
Asymmetric unit:
Na: 0.1665 0.0000 0.2503 (multiplicity 4)
Er: 0.0000 0.5000 0.0000 (multiplicity 2)
Er: 0.0000 0.5000 0.5000 (multiplicity 2)
Cl: 0.0829 0.2510 0.7499 (multiplicity 8)
Cl: 0.1659 0.5000 0.2500 (multiplicity 4)

Most intense lines, 10 to 80 degrees two-theta, in order of rising 2θ:
2θ (°)  I/Imax  h k l
13.8  100  2 0 0
24.1  22  3 1 0
30.8  25  1 1 2
31.1  13  4 0 1
36.8  19  3 1 2
37.2  17  5 1 0
39.5  27  2 2 2
46.8  17  4 2 2
49.3  11  6 2 0
59.3  8  7 1 2

2.
Structure and simulated powder XRD pattern of NaErPbCl6 (a crystal structure in Alexandria, relaxed with GGA-PBE; Cu Kα (weighted mean of Kα1 and Kα2)).

Lattice parameters (Å, degrees): 7.0016 7.0016 12.4665 90.00 90.00 120.00
Space group P-31c (No. 163)
Asymmetric unit:
Na: 0.3333 0.6667 0.2500 (multiplicity 2)
Er: 0.3333 0.6667 0.7500 (multiplicity 2)
Pb: 0.0000 0.0000 0.0000 (multiplicity 2)
Cl: 0.0208 0.3593 0.6305 (multiplicity 12)

Most intense lines, 10 to 80 degrees two-theta, in order of rising 2θ:
2θ (°)  I/Imax  h k l
16.3  34  1 0 1
20.4  100  1 0 2
25.4  26  1 1 0
29.3  17  2 -1 2
32.9  31  2 0 2
38.7  55  1 1 4
42.0  32  2 1 2
44.8  25  3 0 0
56.7  14  4 -1 2
60.7  14  4 -2 4

3.
Structure and simulated powder XRD pattern of RbErSeCl2O3 (a crystal structure in Alexandria, relaxed with GGA-PBE; Cu Kα (weighted mean of Kα1 and Kα2)).

Lattice parameters (Å, degrees): 6.5916 7.0253 17.6682 90.00 105.45 90.00
Space group P2_1/c (No. 14)
Asymmetric unit:
Rb: 0.2373 0.2039 0.0544 (multiplicity 4)
Er: 0.1385 0.6501 0.2603 (multiplicity 4)
Se: 0.3716 0.1528 0.2925 (multiplicity 4)
Cl: 0.1136 0.6505 0.1089 (multiplicity 4)
Cl: 0.2376 0.6390 0.4151 (multiplicity 4)
O: 0.1799 0.1731 0.7586 (multiplicity 4)
O: 0.1839 0.5266 0.7631 (multiplicity 4)
O: 0.4961 0.6498 0.2781 (multiplicity 4)

Most intense lines, 10 to 80 degrees two-theta, in order of rising 2θ:
2θ (°)  I/Imax  h k l
10.4  100  0 0 2
20.9  25  0 0 4
21.8  22  1 0 -4
25.9  54  0 2 1
30.1  47  2 1 -2
30.9  28  2 1 0
31.5  17  0 0 6
36.8  18  0 2 5
41.0  13  1 0 -8
47.7  17  2 3 -1

4.
Structure and simulated powder XRD pattern of ErPuCl (a crystal structure in Alexandria, relaxed with GGA-PBE; Cu Kα (weighted mean of Kα1 and Kα2)).

Lattice parameters (Å, degrees): 4.2398 4.2398 9.2294 90.00 90.00 90.00
Space group P4/nmm (No. 129, origin choice 2)
Asymmetric unit:
Er: 0.2500 0.2500 0.2021 (multiplicity 2)
Pu: 0.2500 0.2500 0.5571 (multiplicity 2)
Cl: 0.2500 0.7500 0.0000 (multiplicity 2)

Most intense lines, 10 to 80 degrees two-theta, in order of rising 2θ:
2θ (°)  I/Imax  h k l
28.6  100  1 0 2
29.8  97  1 1 0
31.4  55  1 1 1
36.1  85  1 0 3
42.1  44  1 1 3
42.6  53  2 0 0
52.2  39  2 1 2
57.1  46  2 1 3
64.4  22  1 0 6
70.2  18  3 1 0

5.
Structure and simulated powder XRD pattern of RbErCl4 (a crystal structure in Alexandria, relaxed with GGA-PBE; Cu Kα (weighted mean of Kα1 and Kα2)).

Lattice parameters (Å, degrees): 15.0732 7.3661 7.0595 90.00 92.56 90.00
Space group C2/m (No. 12)
Asymmetric unit:
Rb: 0.2126 0.0000 0.2654 (multiplicity 4)
Er: 0.0355 0.5000 0.2756 (multiplicity 4)
Cl: 0.0000 0.2605 0.0000 (multiplicity 4)
Cl: 0.1007 0.2845 0.5629 (multiplicity 8)
Cl: 0.1952 0.5000 0.1641 (multiplicity 4)

Most intense lines, 10 to 80 degrees two-theta, in order of rising 2θ:
2θ (°)  I/Imax  h k l
11.8  24  2 0 0
13.4  100  1 1 0
21.4  27  3 1 0
25.3  37  3 1 1
30.1  21  2 2 1
32.7  19  3 1 -2
34.0  23  4 0 -2
35.2  39  0 2 2
37.5  20  6 0 -1
45.0  18  3 1 3